[1]
# LiNi4
Computed powder XRD pattern, Cu Kα (weighted mean of Kα1 and Kα2). Input: a GGA-PBE-relaxed structure.

Cell and atoms:
```
data_LiNi4
_symmetry_space_group_name_H-M 'I 4/m'
_symmetry_Int_Tables_number 87
_symmetry_space_group_name_Hall '-I 4'
_cell_length_a 5.5262
_cell_length_b 5.5262
_cell_length_c 3.5589
_cell_angle_alpha 90.00
_cell_angle_beta 90.00
_cell_angle_gamma 90.00
loop_
_atom_site_label
_atom_site_type_symbol
_atom_site_fract_x
_atom_site_fract_y
_atom_site_fract_z
Li1 Li 0.0000 0.0000 0.0000
Ni1 Ni 0.1000 0.3028 0.5000
```

Largest 8 diffraction maxima, in order of rising 2θ, 5 to 70 degrees two-theta:
d_spacing  2theta  I_rel
3.908  22.76  169
2.992  29.86  141
2.763  32.40  55
2.030  44.64  1000
1.779  51.35  153
1.748  52.35  298
1.636  56.23  26
1.408  66.41  28

=====

[2]
# Pr2Al7Pd
Computed powder XRD pattern, Cu Kα (weighted mean of Kα1 and Kα2). Input: a GGA-PBE-relaxed structure.

Cell and atoms:
```
data_Pr2Al7Pd
_symmetry_space_group_name_H-M 'P -4 m 2'
_symmetry_Int_Tables_number 115
_symmetry_space_group_name_Hall 'P -4 -2'
_cell_length_a 4.2711
_cell_length_b 4.2711
_cell_length_c 11.1505
_cell_angle_alpha 90.00
_cell_angle_beta 90.00
_cell_angle_gamma 90.00
loop_
_atom_site_label
_atom_site_type_symbol
_atom_site_fract_x
_atom_site_fract_y
_atom_site_fract_z
Pr1 Pr 0.0000 0.5000 0.2482
Al1 Al 0.0000 0.0000 0.0000
Al2 Al 0.0000 0.5000 0.6284
Al3 Al 0.0000 0.5000 0.8572
Al4 Al 0.5000 0.5000 0.0000
Al5 Al 0.5000 0.5000 0.5000
Pd1 Pd 0.0000 0.0000 0.5000
```

Largest 8 diffraction maxima, in order of rising 2θ, 5 to 70 degrees two-theta:
d_spacing  2theta  I_rel
11.150  7.93  192
3.988  22.29  558
2.804  31.92  607
2.656  33.75  1000
2.136  42.32  376
1.977  45.91  264
1.699  53.97  271
1.451  64.20  193

=====

[3]
# Na2PuInBr8
Computed powder XRD pattern, Cu Kα (weighted mean of Kα1 and Kα2). Input: a GGA-PBE-relaxed structure.

Cell and atoms:
```
data_Na2PuInBr8
_symmetry_space_group_name_H-M 'P 1 2/m 1'
_symmetry_Int_Tables_number 10
_symmetry_space_group_name_Hall '-P 2y'
_cell_length_a 6.7578
_cell_length_b 8.6478
_cell_length_c 6.9815
_cell_angle_alpha 90.00
_cell_angle_beta 94.75
_cell_angle_gamma 90.00
loop_
_atom_site_label
_atom_site_type_symbol
_atom_site_fract_x
_atom_site_fract_y
_atom_site_fract_z
Na1 Na 0.0000 0.2447 0.0000
Pu1 Pu 0.5000 0.5000 0.5000
In1 In 0.5000 0.0000 0.5000
Br1 Br 0.2381 0.5000 0.1643
Br2 Br 0.2574 0.0000 0.1797
Br3 Br 0.2808 0.2382 0.6484
```

Largest 8 diffraction maxima, in order of rising 2θ, 5 to 70 degrees two-theta:
d_spacing  2theta  I_rel
6.958  12.72  498
6.735  13.15  515
5.052  17.55  472
4.650  19.08  295
3.285  27.14  1000
2.991  29.87  441
2.538  35.37  510
2.044  44.32  448

=====

[4]
# RbTl2I3
Computed powder XRD pattern, Cu Kα (weighted mean of Kα1 and Kα2). Input: a GGA-PBE-relaxed structure.

Cell and atoms:
```
data_RbTl2I3
_symmetry_space_group_name_H-M 'F m m 2'
_symmetry_Int_Tables_number 42
_symmetry_space_group_name_Hall 'F 2 -2'
_cell_length_a 7.2195
_cell_length_b 21.6880
_cell_length_c 7.2199
_cell_angle_alpha 90.00
_cell_angle_beta 90.00
_cell_angle_gamma 90.00
loop_
_atom_site_label
_atom_site_type_symbol
_atom_site_fract_x
_atom_site_fract_y
_atom_site_fract_z
Rb1 Rb 0.0000 0.0000 0.0000
Tl1 Tl 0.0000 0.1673 0.4994
I1 I 0.0000 0.0000 0.5000
I2 I 0.0000 0.1707 0.9993
```

Largest 8 diffraction maxima, in order of rising 2θ, 5 to 70 degrees two-theta:
d_spacing  2theta  I_rel
10.844  8.15  77
4.969  17.85  50
3.611  24.65  1000
2.554  35.14  796
2.085  43.40  294
1.806  50.55  141
1.615  57.02  392
1.474  63.05  289

=====

Which formula does entry 3 have? Na2PuInBr8